# 1
Tb4Tl2Hg: simulated X-ray diffraction stick pattern (Cu Kα), based on a crystal structure in Alexandria, relaxed with GGA-PBE.

Principal peaks in the range 5 to 70 degrees two-theta, in order of falling intensity:
d 3.008, 29.70 deg, I = 100; d 2.792, 32.06 deg, I = 94; d 2.716, 32.97 deg, I = 48; d 3.387, 26.31 deg, I = 41; d 2.657, 33.73 deg, I = 33; d 2.524, 35.56 deg, I = 32; d 2.338, 38.51 deg, I = 31; d 2.236, 40.33 deg, I = 31; d 1.693, 54.17 deg, I = 30; d 2.468, 36.41 deg, I = 28

Structural model:
```
Tb4Tl2Hg
1.0
7.208 0.000 0.000
0.000 6.774 0.000
-3.366 0.000 8.569
Tb Tl Hg
8 4 2
Cartesian
0.442 1.693 0.475
-1.207 0.055 6.260
-1.207 3.332 6.260
1.134 5.080 2.936
2.708 1.693 5.633
5.048 3.442 2.308
5.048 6.719 2.308
3.400 5.080 8.093
-0.020 1.693 3.787
2.922 5.080 0.352
0.920 1.693 8.216
3.862 5.080 4.782
1.199 5.080 6.002
2.643 1.693 2.566
```

=====

# 2
Dy7AuSe5: simulated X-ray diffraction stick pattern (Cu Kα), based on a crystal structure in Alexandria, relaxed with GGA-PBE.

Principal peaks in the range 5 to 70 degrees two-theta, in order of falling intensity:
d 2.898, 30.86 deg, I = 100; d 3.083, 28.97 deg, I = 81; d 2.800, 31.96 deg, I = 71; d 2.020, 44.87 deg, I = 55; d 2.015, 44.98 deg, I = 36; d 2.215, 40.74 deg, I = 36; d 1.687, 54.39 deg, I = 28; d 2.086, 43.38 deg, I = 25; d 2.768, 32.35 deg, I = 24; d 2.059, 43.98 deg, I = 24

Structural model:
```
Dy7AuSe5
1.0
2.015 -6.655 0.000
2.015 6.655 0.000
0.000 0.000 24.348
Dy Au Se
14 2 10
Cartesian
2.015 6.173 18.261
2.015 4.819 0.912
2.015 4.819 11.262
2.015 2.588 16.533
2.015 2.588 19.988
2.015 1.190 2.748
2.015 1.190 9.425
2.015 -1.190 14.922
2.015 -1.190 21.599
2.015 -2.588 4.360
2.015 -2.588 7.814
2.015 -4.819 13.086
2.015 -4.819 23.435
2.015 -6.173 6.087
2.015 2.649 6.087
2.015 -2.649 18.261
2.015 5.961 3.488
2.015 5.961 8.686
2.015 3.687 13.903
2.015 3.687 22.619
2.015 0.000 0.000
2.015 0.000 12.174
2.015 -3.687 1.729
2.015 -3.687 10.445
2.015 -5.961 15.662
2.015 -5.961 20.860
```

=====

# 3
Cd9InPd2: simulated X-ray diffraction stick pattern (Cu Kα), based on a crystal structure in Alexandria, relaxed with GGA-PBE.

Principal peaks in the range 5 to 70 degrees two-theta, in order of falling intensity:
d 2.286, 39.41 deg, I = 100; d 2.652, 33.80 deg, I = 94; d 2.688, 33.34 deg, I = 60; d 2.175, 41.52 deg, I = 35; d 2.417, 37.19 deg, I = 28; d 1.545, 59.88 deg, I = 26; d 2.243, 40.21 deg, I = 26; d 3.040, 29.38 deg, I = 25; d 6.304, 14.05 deg, I = 15; d 1.377, 68.08 deg, I = 14

Structural model:
```
Cd9InPd2
1.0
-6.010 6.010 3.702
6.010 -6.010 3.702
6.010 6.010 -3.702
Cd In Pd
18 2 4
Cartesian
3.655 1.552 -0.527
8.365 1.552 -0.527
4.557 6.660 -2.378
1.453 0.650 1.324
3.655 4.458 -0.527
2.355 -1.552 3.175
6.010 3.005 0.925
4.557 0.650 2.378
7.463 0.650 2.378
-1.453 5.360 1.324
1.453 5.360 1.324
0.000 3.005 2.776
3.655 7.562 0.527
2.355 1.552 4.229
4.557 5.360 2.378
1.453 -0.650 6.080
-2.355 4.458 4.229
2.355 4.458 4.229
6.010 -3.005 2.776
0.000 9.015 0.925
6.010 0.000 0.000
-3.005 3.005 1.851
0.000 0.000 3.702
3.005 3.005 1.851
```

=====

# 4
Dy7Tm2Sc2: simulated X-ray diffraction stick pattern (Cu Kα), based on a crystal structure in Alexandria, relaxed with GGA-PBE.

Principal peaks in the range 5 to 70 degrees two-theta, in order of falling intensity:
d 2.646, 33.88 deg, I = 100; d 2.854, 31.34 deg, I = 32; d 2.512, 35.75 deg, I = 21; d 2.793, 32.05 deg, I = 21; d 3.130, 28.51 deg, I = 18; d 1.605, 57.43 deg, I = 17; d 1.996, 45.44 deg, I = 14; d 3.215, 27.74 deg, I = 11; d 5.708, 15.52 deg, I = 11; d 9.434, 9.37 deg, I = 11

Structural model:
```
Dy7Tm2Sc2
1.0
-1.766 8.378 5.708
1.766 -8.378 5.708
1.766 8.378 -5.708
Dy Tm Sc
7 2 2
Cartesian
0.000 0.000 0.000
1.766 2.832 0.290
1.766 -2.756 5.628
1.766 5.043 2.955
1.766 2.756 5.628
0.000 5.545 5.999
0.000 3.335 8.663
0.000 0.000 5.575
0.000 8.378 2.734
1.766 6.468 -2.810
0.000 1.910 2.898
```

=====

# 5
Nd5Y5Bi6: simulated X-ray diffraction stick pattern (Cu Kα), based on a crystal structure in Alexandria, relaxed with GGA-PBE.

Principal peaks in the range 5 to 70 degrees two-theta, in order of falling intensity:
d 2.667, 33.60 deg, I = 100; d 2.781, 32.19 deg, I = 66; d 2.703, 33.14 deg, I = 51; d 2.767, 32.35 deg, I = 32; d 8.124, 10.89 deg, I = 29; d 2.721, 32.92 deg, I = 27; d 3.807, 23.37 deg, I = 27; d 3.241, 27.52 deg, I = 25; d 1.621, 56.80 deg, I = 21; d 1.767, 51.75 deg, I = 18

Structural model:
```
Nd5Y5Bi6
1.0
6.483 0.000 0.000
0.000 8.163 4.672
0.000 -8.163 4.672
Nd Y Bi
5 5 6
Cartesian
0.000 0.000 0.000
1.620 -2.702 6.943
1.620 2.702 6.943
4.862 -2.702 6.943
4.862 2.702 6.943
0.000 -2.017 3.411
0.000 2.017 3.411
3.241 -6.142 5.788
3.241 0.000 4.511
3.241 6.142 5.788
0.000 -4.993 5.156
0.000 0.000 5.813
0.000 4.993 5.156
3.241 -3.127 4.054
3.241 3.127 4.054
3.241 0.000 8.035
```

=====

# 6
AlCo2: simulated X-ray diffraction stick pattern (Cu Kα), based on a crystal structure in Alexandria, relaxed with GGA-PBE.

Principal peaks in the range 5 to 70 degrees two-theta, in order of falling intensity:
d 2.073, 43.66 deg, I = 100; d 1.755, 52.13 deg, I = 29; d 1.886, 48.25 deg, I = 18; d 3.468, 25.69 deg, I = 8; d 5.658, 15.66 deg, I = 6; d 2.773, 32.28 deg, I = 6; d 2.378, 37.84 deg, I = 3; d 2.424, 37.09 deg, I = 2; d 1.775, 51.49 deg, I = 2; d 1.566, 59.00 deg, I = 1

Structural model:
```
AlCo2
1.0
-1.755 1.755 11.317
1.755 -1.755 11.317
1.755 1.755 -11.317
Al Co
4 8
Cartesian
1.755 0.877 1.034
1.755 0.877 4.625
0.000 0.877 6.692
0.000 0.877 10.283
1.755 -0.877 6.595
1.755 0.877 -2.828
1.755 -0.877 10.381
0.000 0.877 2.830
1.755 0.877 8.486
0.000 2.632 0.936
0.000 0.877 14.145
0.000 2.632 4.722
```

=====

# 7
Tb3NdPd: simulated X-ray diffraction stick pattern (Cu Kα), based on a crystal structure in Alexandria, relaxed with GGA-PBE.

Principal peaks in the range 5 to 70 degrees two-theta, in order of falling intensity:
d 2.897, 30.87 deg, I = 100; d 2.422, 37.12 deg, I = 50; d 3.136, 28.46 deg, I = 43; d 2.801, 31.95 deg, I = 42; d 3.121, 28.60 deg, I = 35; d 2.658, 33.73 deg, I = 31; d 2.527, 35.52 deg, I = 24; d 1.805, 50.58 deg, I = 21; d 2.495, 36.00 deg, I = 19; d 1.717, 53.36 deg, I = 17

Structural model:
```
Tb3NdPd
1.0
5.874 -4.230 0.000
5.874 4.230 0.000
-4.914 0.000 6.273
Tb Nd Pd
6 2 2
Cartesian
-1.249 1.694 4.620
-0.470 0.000 1.704
-1.249 -1.694 4.620
8.084 1.694 1.653
7.304 0.000 4.569
8.084 -1.694 1.653
1.987 0.000 4.337
4.848 0.000 1.936
2.276 0.000 0.478
4.559 0.000 5.795
```

=====

# 8
Zn3InAu6: simulated X-ray diffraction stick pattern (Cu Kα), based on a crystal structure in Alexandria, relaxed with GGA-PBE.

Principal peaks in the range 5 to 70 degrees two-theta, in order of falling intensity:
d 2.349, 38.32 deg, I = 100; d 2.362, 38.09 deg, I = 93; d 2.181, 41.39 deg, I = 45; d 2.227, 40.51 deg, I = 38; d 1.558, 59.30 deg, I = 25; d 3.117, 28.64 deg, I = 20; d 1.799, 50.75 deg, I = 16; d 1.388, 67.48 deg, I = 13; d 3.598, 24.74 deg, I = 12; d 2.236, 40.33 deg, I = 12

Structural model:
```
Zn3InAu6
1.0
8.493 0.000 0.000
0.000 4.362 0.000
-1.668 0.000 9.434
Zn In Au
6 2 12
Cartesian
-0.310 1.091 3.853
1.094 3.272 1.678
0.521 1.091 9.279
6.305 3.272 0.155
5.731 1.091 7.756
7.136 3.272 5.581
2.622 1.091 5.754
4.203 3.272 3.680
-1.314 3.272 8.487
-0.299 1.091 6.671
1.224 3.272 4.427
1.471 3.272 7.407
2.353 1.091 2.672
3.622 3.272 0.825
3.204 1.091 8.609
4.473 3.272 6.762
5.354 1.091 2.027
5.602 1.091 5.007
7.124 3.272 2.763
8.140 1.091 0.947
```

=====

# 9
LaSmTeI: simulated X-ray diffraction stick pattern (Cu Kα), based on a crystal structure in Alexandria, relaxed with GGA-PBE.

Principal peaks in the range 5 to 70 degrees two-theta, in order of falling intensity:
d 2.753, 32.53 deg, I = 100; d 1.589, 58.03 deg, I = 38; d 1.947, 46.66 deg, I = 18; d 1.376, 68.13 deg, I = 12; d 3.893, 22.84 deg, I = 1

Structural model:
```
LaSmTeI
1.0
0.000 3.893 3.893
3.893 0.000 3.893
3.893 3.893 0.000
La Sm Te I
1 1 1 1
Cartesian
0.000 0.000 0.000
3.893 3.893 3.893
1.947 1.947 1.947
5.840 5.840 5.840
```

=====

# 10
Ba3In2Cl2O5: simulated X-ray diffraction stick pattern (Cu Kα), based on a crystal structure in Alexandria, relaxed with GGA-PBE.

Principal peaks in the range 5 to 70 degrees two-theta, in order of falling intensity:
d 2.783, 32.16 deg, I = 100; d 3.042, 29.36 deg, I = 81; d 3.291, 27.09 deg, I = 50; d 1.702, 53.87 deg, I = 45; d 2.151, 42.01 deg, I = 43; d 12.777, 6.92 deg, I = 35; d 1.744, 52.45 deg, I = 19; d 1.801, 50.70 deg, I = 18; d 1.513, 61.25 deg, I = 16; d 1.360, 69.04 deg, I = 14

Structural model:
```
Ba3In2Cl2O5
1.0
-2.151 2.151 12.777
2.151 -2.151 12.777
2.151 2.151 -12.777
Ba In Cl O
3 2 2 5
Cartesian
0.000 0.000 0.000
0.000 0.000 4.105
0.000 0.000 21.448
0.000 0.000 10.680
0.000 0.000 14.873
0.000 0.000 7.551
0.000 0.000 18.002
2.151 0.000 2.393
2.151 0.000 10.384
0.000 0.000 12.777
0.000 2.151 2.393
0.000 2.151 10.384
```